[1]
Structure and computed powder diffractogram of Tl2Cd2GaHg7 (a DFT-relaxed cell (PBE, Alexandria); a wavelength of 1.5418 Å).

Largest 10 diffraction maxima, by angle, 10 to 80 degrees two-theta:
index  2theta  I (rel.)
0 2 1  28.1  60
2 0 2  32.3  33
0 2 3  32.5  78
2 0 -4  32.8  21
0 0 6  34.5  33
0 2 4  36.0  52
2 0 -5  36.3  34
2 2 -1  39.3  100
2 2 5  53.0  26
0 4 0  56.8  33

Atomic structure:
a = 6.4761 Å, b = 6.4841 Å, c = 15.9008 Å
α = 90.00°, β = 100.88°, γ = 90.00°
Space group C2/m (No. 12)
Asymmetric unit:
Tl 0.1815 0.0000 0.3240 x4
Cd 0.1635 0.5000 0.2843 x4
Ga 0.0000 0.0000 0.0000 x2
Hg 0.0000 0.5000 0.0000 x2
Hg 0.1595 0.2501 0.8531 x8
Hg 0.2397 0.5000 0.4747 x4

=====

[2]
Structure and computed powder diffractogram of BaLi2U2S7 (a DFT-relaxed cell (PBE, Alexandria); a wavelength of 1.5418 Å).

Largest 10 diffraction maxima, by angle, 10 to 80 degrees two-theta:
index  2theta  I (rel.)
1 0 1  17.5  49
1 0 3  21.1  100
1 1 0  24.1  62
1 0 5  27.0  58
0 0 8  33.7  29
2 0 0  34.4  60
2 1 3  40.7  38
1 1 8  41.9  41
2 1 5  44.3  32
2 0 8  48.9  39

Atomic structure:
a = 5.2211 Å, b = 5.2211 Å, c = 21.2589 Å
α = 90.00°, β = 90.00°, γ = 90.00°
Space group I4/mmm (No. 139)
Asymmetric unit:
Ba 0.0000 0.0000 0.0000 x2
Li 0.0000 0.5000 0.2500 x4
U 0.0000 0.0000 0.3779 x4
S 0.0000 0.0000 0.2610 x4
S 0.0000 0.0000 0.5000 x2
S 0.0000 0.5000 0.1122 x8

=====

[3]
Structure and computed powder diffractogram of NaV4 (a DFT-relaxed cell (PBE, Alexandria); a wavelength of 1.5418 Å).

Largest 10 diffraction maxima, by angle, 10 to 80 degrees two-theta:
index  2theta  I (rel.)
1 0 0  20.1  6
1 1 0  28.5  5
1 1 1  35.1  100
2 0 0  40.8  78
2 1 0  45.9  3
2 1 1  50.5  2
2 2 0  59.1  47
3 0 0  63.0  1
3 1 1  70.6  32
2 2 2  74.3  15

Atomic structure:
a = 4.4234 Å, b = 4.4234 Å, c = 4.4234 Å
α = 90.00°, β = 90.00°, γ = 90.00°
Space group Pm-3m (No. 221)
Asymmetric unit:
Na 0.0000 0.0000 0.0000 x1
V 0.0000 0.0000 0.5000 x3
V 0.5000 0.5000 0.5000 x1

=====

[4]
Structure and computed powder diffractogram of Er5Pt2Au (a DFT-relaxed cell (PBE, Alexandria); a wavelength of 1.5418 Å).

Largest 10 diffraction maxima, by angle, 10 to 80 degrees two-theta:
index  2theta  I (rel.)
0 0 2  13.5  9
1 1 4  31.9  14
2 2 0  32.9  12
2 1 3  33.1  100
2 0 4  36.0  25
3 1 0  36.9  59
2 1 5  43.4  16
4 1 3  53.4  11
3 3 4  58.1  9
5 2 3  69.2  31

Atomic structure:
a = 7.7011 Å, b = 7.7011 Å, c = 13.0810 Å
α = 90.00°, β = 90.00°, γ = 90.00°
Space group I4/mcm (No. 140)
Asymmetric unit:
Er 0.0000 0.0000 0.0000 x4
Er 0.1614 0.3386 0.1411 x16
Pt 0.1367 0.3633 0.5000 x8
Au 0.0000 0.0000 0.2500 x4

=====

[5]
Structure and computed powder diffractogram of Ce2Sn5Pd3 (a DFT-relaxed cell (PBE, Alexandria); a wavelength of 1.5418 Å).

Largest 10 diffraction maxima, by angle, 10 to 80 degrees two-theta:
index  2theta  I (rel.)
1 3 2  32.6  100
0 10 1  35.5  14
1 9 0  35.7  15
2 0 0  38.8  30
0 4 3  39.0  17
1 9 2  43.5  13
2 10 1  53.6  9
2 4 3  56.2  8
1 13 3  61.9  19
3 3 2  66.3  13

Atomic structure:
a = 4.6420 Å, b = 26.9266 Å, c = 7.3828 Å
α = 90.00°, β = 90.00°, γ = 90.00°
Space group Cmc2_1 (No. 36)
Asymmetric unit:
Ce 0.0000 0.0220 0.0000 x4
Ce 0.0000 0.3287 0.9857 x4
Sn 0.0000 0.0972 0.6352 x4
Sn 0.0000 0.2048 0.1867 x4
Sn 0.0000 0.2116 0.7622 x4
Sn 0.0000 0.3805 0.5022 x4
Sn 0.0000 0.4513 0.8320 x4
Pd 0.0000 0.1048 0.2565 x4
Pd 0.0000 0.2789 0.4679 x4
Pd 0.0000 0.4497 0.2168 x4

=====

[6]
Structure and computed powder diffractogram of Sr3LiPr2Te6 (a DFT-relaxed cell (PBE, Alexandria); a wavelength of 1.5418 Å).

Largest 10 diffraction maxima, by angle, 10 to 80 degrees two-theta:
index  2theta  I (rel.)
1 3 1  27.3  100
1 3 -3  39.0  38
0 6 0  39.1  38
0 0 4  48.1  7
4 0 0  48.4  21
4 0 -4  56.4  13
0 6 4  63.7  11
5 3 -3  63.9  18
4 6 -4  70.8  13
6 0 -2  70.9  7

Atomic structure:
a = 7.9774 Å, b = 13.8131 Å, c = 8.0224 Å
α = 90.00°, β = 109.42°, γ = 90.00°
Space group C2/m (No. 12)
Asymmetric unit:
Sr 0.0000 0.0000 0.0000 x2
Sr 0.0000 0.3318 0.0000 x4
Li 0.0000 0.5000 0.5000 x2
Pr 0.0000 0.1660 0.5000 x4
Te 0.2424 0.3359 0.7356 x8
Te 0.2493 0.5000 0.2627 x4

=====

[7]
Structure and computed powder diffractogram of La3Sm2Er8 (a DFT-relaxed cell (PBE, Alexandria); a wavelength of 1.5418 Å).

Largest 10 diffraction maxima, by angle, 10 to 80 degrees two-theta:
index  2theta  I (rel.)
2 2 0  24.7  20
5 1 -1  29.4  18
5 1 1  29.5  17
6 0 -1  30.8  35
0 0 2  31.8  43
4 2 -1  33.2  100
1 3 0  35.2  13
8 0 0  35.3  12
8 0 -2  48.1  14
4 2 -3  57.5  21

Atomic structure:
a = 20.3303 Å, b = 7.7221 Å, c = 5.6294 Å
α = 90.00°, β = 90.13°, γ = 90.00°
Space group C2/m (No. 12)
Asymmetric unit:
La 0.0000 0.0000 0.0000 x2
La 0.0000 0.3000 0.5000 x4
Sm 0.2409 0.0000 0.9968 x4
Er 0.1095 0.2917 0.0008 x8
Er 0.1352 0.0000 0.4987 x4
Er 0.1696 0.5000 0.5024 x4

=====

[8]
Structure and computed powder diffractogram of Sr3Np2O9 (a DFT-relaxed cell (PBE, Alexandria); a wavelength of 1.5418 Å).

Largest 10 diffraction maxima, by angle, 10 to 80 degrees two-theta:
index  2theta  I (rel.)
1 1 0  17.1  100
1 1 3  26.0  20
1 0 4  27.9  45
3 0 0  29.9  97
0 2 4  32.9  36
2 1 4  37.3  45
2 2 3  40.0  23
1 3 4  45.0  27
3 2 4  51.8  23
3 3 0  53.0  20

Atomic structure:
a = 10.3581 Å, b = 10.3581 Å, c = 13.6904 Å
α = 90.00°, β = 90.00°, γ = 120.00°
Space group R-3c (No. 167, hexagonal axes)
Asymmetric unit:
Sr 0.0000 0.3207 0.2500 x18
Np 0.0000 0.0000 0.1370 x12
O 0.0000 0.1499 0.7500 x18
O 0.0183 0.1874 0.4175 x36

=====

[9]
Structure and computed powder diffractogram of Sm6TlHg (a DFT-relaxed cell (PBE, Alexandria); a wavelength of 1.5418 Å).

Largest 10 diffraction maxima, by angle, 10 to 80 degrees two-theta:
index  2theta  I (rel.)
1 1 4  31.2  100
2 0 0  34.5  40
1 1 6  38.2  5
0 0 8  39.2  12
2 2 0  49.6  16
2 0 8  53.2  20
3 1 4  59.8  32
2 2 8  65.0  11
1 1 12  66.1  8
4 0 0  72.8  6

Atomic structure:
a = 5.1961 Å, b = 5.1961 Å, c = 18.3837 Å
α = 90.00°, β = 90.00°, γ = 90.00°
Space group I4/mmm (No. 139)
Asymmetric unit:
Sm 0.0000 0.0000 0.2500 x4
Sm 0.0000 0.5000 0.1125 x8
Tl 0.0000 0.0000 0.0000 x2
Hg 0.0000 0.0000 0.5000 x2

=====

[10]
Structure and computed powder diffractogram of TlTe3Ir (a DFT-relaxed cell (PBE, Alexandria); a wavelength of 1.5418 Å).

Largest 10 diffraction maxima, by angle, 10 to 80 degrees two-theta:
index  2theta  I (rel.)
1 1 0  15.6  85
3 1 0  23.6  39
3 1 -1  24.8  37
4 0 -1  25.5  54
2 0 2  30.5  76
2 2 -1  32.9  53
2 2 1  35.0  56
2 2 -2  38.8  100
2 2 2  42.4  35
6 2 0  48.3  38

Atomic structure:
a = 14.5673 Å, b = 6.2055 Å, c = 7.2651 Å
α = 90.00°, β = 102.55°, γ = 90.00°
Space group C2/m (No. 12)
Asymmetric unit:
Tl 0.2043 0.0000 0.2458 x4
Te 0.0848 0.2463 0.7878 x8
Te 0.1395 0.5000 0.3123 x4
Ir 0.0000 0.5000 0.0000 x2
Ir 0.0000 0.5000 0.5000 x2